Structure and computed X-ray powder pattern of Nd2In5Pd4 (DFT lattice parameters and positions (PBE); Cu Kα, 1.54184 Å).
Peak positions follow from Bragg's law for the DFT cell and can differ from measured ones.

Structure:
a b c (Å): 5.9274 12.1609 14.7512
angles (deg): 90.00 90.00 90.00
Space group Fmmm (No. 69)
Asymmetric unit:
Nd 0.0000 0.0000 0.1637 (multiplicity 8)
In 0.0000 0.0000 0.5000 (multiplicity 4)
In 0.2500 0.2500 0.0000 (multiplicity 8)
In 0.2500 0.2500 0.2500 (multiplicity 8)
Pd 0.0000 0.1163 0.3530 (multiplicity 16)

Largest 10 diffraction maxima, by angle, 10 to 90 degrees two-theta:
2theta, Rel. int., (hkl)
17.7, 29, 1 1 1
28.3, 53, 0 2 4
32.4, 100, 1 3 3
33.6, 93, 2 2 0
36.5, 23, 0 0 6
38.4, 47, 0 4 4
39.0, 57, 2 0 4
44.3, 58, 1 5 3
48.1, 21, 2 0 6
54.9, 36, 2 6 0